# CePrO2
Simulated powder diffractogram, λ = 1.5418 Å (Cu Kα). Input: a cell relaxed with PBE.
Lines closer than 0.1° are merged.

Main lines, by angle (10° ≤ 2θ ≤ 90°):
30.7°, I = 100.0; 35.6°, I = 82.2; 51.2°, I = 56.5; 60.9°, I = 45.3; 63.9°, I = 18.9; 75.3°, I = 5.8; 75.4°, I = 2.9; 83.5°, I = 19.2; 86.2°, I = 16.4; 86.3°, I = 8.2

Cell and atoms:
```
CePrO2
1.0
-2.524 2.524 5.041
2.524 -2.524 5.041
2.524 2.524 -5.041
Ce Pr O
2 2 4
Cartesian
2.524 1.262 1.260
0.000 1.262 3.781
2.524 -1.262 3.781
0.000 3.786 1.260
2.524 1.262 -1.238
0.000 1.262 1.282
2.524 1.262 3.759
0.000 1.262 6.279
```